Calculated powder diffractogram of LiBe2SiS4 for λ = 1.5418 Å (Cu Kα), from a DFT-relaxed cell (PBE, Alexandria).
Kinematic intensities with the Lorentz-polarization factor, no thermal factor.

Crystal structure
```
data_LiBe2SiS4
_cell_length_a 7.181
_cell_length_b 7.170
_cell_length_c 6.041
_cell_angle_alpha 90.00
_cell_angle_beta 119.51
_cell_angle_gamma 90.00
_space_group_name_H-M_alt 'C 1 m 1'
_space_group_IT_number 8
_space_group_name_Hall 'C -2y'
loop_
_atom_site_label
_atom_site_type_symbol
_atom_site_fract_x
_atom_site_fract_y
_atom_site_fract_z
_atom_site_occupancy
Li1 Li 0.000 0.000 0.000 1
Be1 Be 0.023 0.247 0.500 1
Si1 Si 0.011 0.500 0.026 1
S1 S 0.119 0.000 0.705 1
S2 S 0.119 0.500 0.737 1
S3 S 0.176 0.255 0.275 1
```

Peak list (12 most intense, 2θ from 10° to 80°, sorted by position)
(hkl), 2θ (°), I (rel.)
1 1 -1, 20.10, 147
2 0 0, 28.57, 536
0 2 1, 30.17, 1000
2 0 -2, 31.92, 555
2 2 -1, 35.51, 252
2 2 0, 38.21, 128
2 2 1, 47.82, 345
0 4 0, 50.95, 174
4 0 -2, 51.23, 142
2 2 -3, 52.22, 337
4 2 -1, 58.65, 255
2 4 -2, 61.39, 140


Calculated powder diffractogram of Li5Mg2Sn2 for λ = 1.5418 Å (Cu Kα), from a DFT-relaxed cell (PBE, Alexandria).
Kinematic intensities with the Lorentz-polarization factor, no thermal factor.

Crystal structure
```
data_Li5Mg2Sn2
_cell_length_a 8.546
_cell_length_b 4.791
_cell_length_c 8.314
_cell_angle_alpha 90.00
_cell_angle_beta 90.00
_cell_angle_gamma 90.00
_space_group_name_H-M_alt 'A m m 2'
_space_group_IT_number 38
_space_group_name_Hall 'A 2 -2'
loop_
_atom_site_label
_atom_site_type_symbol
_atom_site_fract_x
_atom_site_fract_y
_atom_site_fract_z
_atom_site_occupancy
Li1 Li 0.000 0.000 0.000 1
Li2 Li 0.158 0.000 0.332 1
Li3 Li 0.334 0.000 0.664 1
Mg1 Mg 0.320 0.000 0.997 1
Sn1 Sn 0.000 0.000 0.668 1
Sn2 Sn 0.500 0.000 0.330 1
```

Peak list (12 most intense, 2θ from 10° to 80°, sorted by position)
(hkl), 2θ (°), I (rel.)
2 0 0, 20.79, 238
1 1 1, 23.82, 1000
2 0 2, 30.00, 293
0 2 0, 37.51, 396
3 1 1, 38.32, 403
2 2 0, 43.27, 224
1 0 4, 44.92, 192
3 0 4, 54.70, 147
4 2 0, 57.80, 117
5 1 1, 58.39, 95
1 2 4, 59.91, 167
3 2 4, 68.22, 154